The following is a theoretical powder XRD pattern of Er2ScPb2. It was derived from a cell relaxed with PBE, using copper Kα.

Top 10 peaks for 2θ from 15° to 90°, by angle:
2θ 27.78, I 27
2θ 29.63, I 21
2θ 31.30, I 100
2θ 33.67, I 20
2θ 36.32, I 41
2θ 36.75, I 65
2θ 42.34, I 26
2θ 50.46, I 24
2θ 63.74, I 26
2θ 66.84, I 23

Structure:
a = 9.0978 Å, b = 9.0978 Å, c = 6.4217 Å
α = 90.00°, β = 90.00°, γ = 148.45°
Fractional coordinates of all 10 atoms:
Er 0.9998 0.0002 0.0000
Er 0.0002 0.9998 0.5000
Er 0.1940 0.8060 0.7511
Er 0.8060 0.1940 0.2511
Sc 0.3984 0.6016 0.7495
Sc 0.6016 0.3984 0.2495
Pb 0.1868 0.8132 0.2510
Pb 0.4223 0.5777 0.2500
Pb 0.5777 0.4223 0.7500
Pb 0.8132 0.1868 0.7510

=====

The following is a theoretical powder XRD pattern of Er2ScPb. It was derived from a cell relaxed with PBE, using copper Kα.

Top 10 peaks for 2θ from 15° to 90°, by angle:
2θ 18.68, I 14
2θ 26.61, I 14
2θ 32.72, I 100
2θ 37.87, I 34
2θ 38.13, I 17
2θ 54.64, I 12
2θ 54.84, I 23
2θ 65.16, I 28
2θ 65.51, I 14
2θ 68.58, I 12

Structure:
a = 4.7509 Å, b = 4.7509 Å, c = 4.7198 Å
α = 90.00°, β = 90.00°, γ = 90.00°
Fractional coordinates of all 4 atoms:
Er 0.0000 0.5000 0.0000
Er 0.5000 0.0000 0.0000
Sc 0.0000 0.0000 0.5000
Pb 0.5000 0.5000 0.5000

=====

The following is a theoretical powder XRD pattern of ErSc3Pb2. It was derived from a cell relaxed with PBE, using copper Kα.

Top 10 peaks for 2θ from 15° to 90°, by angle:
2θ 23.14, I 97
2θ 30.98, I 54
2θ 33.24, I 30
2θ 36.60, I 100
2θ 39.28, I 23
2θ 41.32, I 48
2θ 47.88, I 31
2θ 54.03, I 30
2θ 65.10, I 27
2θ 72.25, I 28

Structure:
a = 4.3701 Å, b = 4.3701 Å, c = 8.0848 Å
α = 90.00°, β = 90.00°, γ = 90.00°
Fractional coordinates of all 6 atoms:
Er 0.0000 0.0000 0.0000
Sc 0.0000 0.5000 0.3354
Sc 0.5000 0.0000 0.6646
Sc 0.5000 0.5000 0.0000
Pb 0.0000 0.5000 0.7092
Pb 0.5000 0.0000 0.2908

=====

The following is a theoretical powder XRD pattern of Er3ScPb2. It was derived from a cell relaxed with PBE, using copper Kα.

Top 10 peaks for 2θ from 15° to 90°, by angle:
2θ 22.51, I 16
2θ 28.14, I 47
2θ 30.15, I 60
2θ 32.20, I 34
2θ 35.57, I 100
2θ 38.08, I 25
2θ 40.22, I 59
2θ 52.43, I 35
2θ 58.19, I 20
2θ 70.09, I 28

Structure:
a = 4.4842 Å, b = 4.4842 Å, c = 8.3403 Å
α = 90.00°, β = 90.00°, γ = 90.00°
Fractional coordinates of all 6 atoms:
Er 0.0000 0.0000 0.0000
Er 0.0000 0.5000 0.6609
Er 0.5000 0.0000 0.3391
Sc 0.5000 0.5000 0.0000
Pb 0.0000 0.5000 0.2792
Pb 0.5000 0.0000 0.7208

=====

The following is a theoretical powder XRD pattern of Er2Sc2Pb. It was derived from a cell relaxed with PBE, using copper Kα.

Top 10 peaks for 2θ from 15° to 90°, by angle:
2θ 18.93, I 79
2θ 32.20, I 100
2θ 33.43, I 61
2θ 33.55, I 58
2θ 33.84, I 31
2θ 34.34, I 47
2θ 36.65, I 50
2θ 37.46, I 24
2θ 42.91, I 24
2θ 64.15, I 26

Structure:
a = 8.3416 Å, b = 3.4527 Å, c = 9.8069 Å
α = 90.00°, β = 106.88°, γ = 90.00°
Fractional coordinates of all 10 atoms:
Er 0.0834 0.2500 0.1505
Er 0.1362 0.2500 0.6543
Er 0.8638 0.7500 0.3457
Er 0.9166 0.7500 0.8495
Sc 0.3126 0.7500 0.4292
Sc 0.3224 0.7500 0.9808
Sc 0.6776 0.2500 0.0192
Sc 0.6874 0.2500 0.5708
Pb 0.4978 0.7500 0.7464
Pb 0.5022 0.2500 0.2536

=====

The following is a theoretical powder XRD pattern of Er3Sc2Pb3. It was derived from a cell relaxed with PBE, using copper Kα.

Top 10 peaks for 2θ from 15° to 90°, by angle:
2θ 20.11, I 23
2θ 28.20, I 37
2θ 30.93, I 13
2θ 34.09, I 100
2θ 34.88, I 30
2θ 35.20, I 15
2θ 43.40, I 10
2θ 45.07, I 17
2θ 53.79, I 28
2θ 68.07, I 16

Structure:
a = 8.8322 Å, b = 8.8322 Å, c = 6.3296 Å
α = 90.00°, β = 90.00°, γ = 120.00°
Fractional coordinates of all 16 atoms:
Er 0.0000 0.2367 0.2500
Er 0.0000 0.7633 0.7500
Er 0.2367 0.0000 0.2500
Er 0.2367 0.2367 0.7500
Er 0.7633 0.0000 0.7500
Er 0.7633 0.7633 0.2500
Sc 0.3333 0.6667 0.0000
Sc 0.3333 0.6667 0.5000
Sc 0.6667 0.3333 0.0000
Sc 0.6667 0.3333 0.5000
Pb 0.0000 0.3995 0.7500
Pb 0.0000 0.6005 0.2500
Pb 0.3995 0.0000 0.7500
Pb 0.3995 0.3995 0.2500
Pb 0.6005 0.0000 0.2500
Pb 0.6005 0.6005 0.7500